# 1
This entry pairs a crystal structure of SmBeO3 with its simulated XRD peak list. Radiation: CuKα. Structure: DFT lattice parameters and positions (GGA-PBE).

Peak list (6 most intense, 5° ≤ 2θ ≤ 70°, most intense first)
- (1 0 0), 2θ = 24.55°, rel. 100
- (1 1 0), 2θ = 34.99°, rel. 100
- (1 1 1), 2θ = 43.21°, rel. 69
- (2 1 0), 2θ = 56.76°, rel. 44
- (2 1 1), 2θ = 62.76°, rel. 39
- (2 0 0), 2θ = 50.32°, rel. 36

Crystal structure
Cell: 3.627 3.627 3.627 Å, 90.00 90.00 90.00°
Space group Pm-3m (No. 221)
Asymmetric unit:
Sm1 0.000 0.000 0.000 x1
Be1 0.500 0.500 0.500 x1
O1 0.000 0.500 0.500 x3



# 2
This entry pairs a crystal structure of Mg2ScTi3S8 with its simulated XRD peak list. Radiation: CuKα. Structure: DFT lattice parameters and positions (GGA-PBE).

Peak list (10 most intense, 5° ≤ 2θ ≤ 70°, most intense first)
- (4 0 0), 2θ = 34.37°, rel. 100
- (2 2 2), 2θ = 49.01°, rel. 50
- (0 4 0), 2θ = 49.79°, rel. 49
- (3 1 0), 2θ = 28.40°, rel. 35
- (2 0 -1), 2θ = 14.77°, rel. 33
- (0 0 1), 2θ = 14.48°, rel. 19
- (4 0 -1), 2θ = 28.56°, rel. 16
- (4 2 -3), 2θ = 45.17°, rel. 16
- (1 1 -2), 2θ = 28.09°, rel. 15
- (4 0 1), 2θ = 44.86°, rel. 13

Crystal structure
Cell: 12.697 7.320 7.443 Å, 90.00 124.73 90.00°
Space group C2/m (No. 12)
Asymmetric unit:
Mg1 0.126 0.000 0.379 x4
Sc1 0.000 0.500 0.500 x2
Ti1 0.000 0.500 0.000 x2
Ti2 0.250 0.250 0.000 x4
S1 0.012 0.266 0.769 x8
S2 0.241 0.500 0.222 x4
S3 0.246 0.500 0.769 x4



# 3
This entry pairs a crystal structure of SrLaI5 with its simulated XRD peak list. Radiation: CuKα. Structure: DFT lattice parameters and positions (GGA-PBE).

Peak list (10 most intense, 5° ≤ 2θ ≤ 70°, most intense first)
- (1 3 2), 2θ = 30.17°, rel. 100
- (1 5 -2), 2θ = 32.56°, rel. 61
- (2 2 0), 2θ = 29.14°, rel. 53
- (1 1 -2), 2θ = 25.59°, rel. 47
- (1 7 0), 2θ = 31.76°, rel. 45
- (1 5 -1), 2θ = 26.50°, rel. 38
- (0 6 1), 2θ = 26.80°, rel. 36
- (2 4 1), 2θ = 35.30°, rel. 35
- (0 4 2), 2θ = 27.71°, rel. 33
- (2 0 -4), 2θ = 51.88°, rel. 33

Crystal structure
Cell: 6.412 21.983 7.980 Å, 90.00 95.42 90.00°
Space group Cc (No. 9)
Asymmetric unit:
Sr1 0.000 0.177 0.000 x4
La1 0.001 0.420 0.007 x4
I1 0.001 0.130 0.512 x4
I2 0.004 0.303 0.264 x4
I3 0.247 0.462 0.364 x4
I4 0.252 0.038 0.150 x4
I5 0.494 0.197 0.251 x4